# 1
Simulated powder XRD pattern of Hf2V2H7 for λ = 1.5418 Å (Cu Kα), from DFT lattice parameters and positions (GGA-PBE).
Neutral-atom scattering factors, no anomalous dispersion.

Crystal structure
```
Hf2V2H7
1.0
3.377 -3.190 0.000
3.377 3.190 0.000
-0.011 0.000 4.052
Hf V H
2 2 7
Direct
0.240 0.760 0.000
0.760 0.240 0.000
0.258 0.258 0.500
0.742 0.742 0.500
0.000 0.000 0.500
0.000 0.500 0.268
0.000 0.500 0.732
0.500 0.000 0.268
0.500 0.000 0.732
0.500 0.500 0.274
0.500 0.500 0.726
```

Peak list (10 most intense, 2θ from 10° to 90°, in order of rising 2θ)
| two_theta | d [Å] | intensity |
| --- | --- | --- |
| 21.9 | 4.052 | 46 |
| 26.4 | 3.377 | 30 |
| 28.0 | 3.190 | 26 |
| 34.6 | 2.594 | 100 |
| 35.8 | 2.507 | 91 |
| 38.8 | 2.319 | 69 |
| 44.7 | 2.026 | 25 |
| 45.0 | 2.013 | 31 |
| 60.6 | 1.527 | 19 |
| 69.1 | 1.359 | 25 |

# 2
Simulated powder XRD pattern of ZrCr5 for λ = 1.5418 Å (Cu Kα), from DFT lattice parameters and positions (GGA-PBE).
Neutral-atom scattering factors, no anomalous dispersion.

Crystal structure
```
ZrCr5
1.0
1.487 -6.269 0.000
1.487 6.269 0.000
0.000 0.000 4.265
Zr Cr
1 5
Direct
0.000 0.000 0.000
0.171 0.829 0.500
0.321 0.679 0.000
0.500 0.500 0.500
0.679 0.321 0.000
0.829 0.171 0.500
```

Peak list (10 most intense, 2θ from 10° to 90°, in order of rising 2θ)
| two_theta | d [Å] | intensity |
| --- | --- | --- |
| 28.5 | 3.135 | 4 |
| 42.4 | 2.133 | 27 |
| 42.9 | 2.107 | 100 |
| 43.3 | 2.090 | 23 |
| 62.2 | 1.493 | 14 |
| 62.5 | 1.487 | 8 |
| 77.9 | 1.226 | 15 |
| 78.4 | 1.220 | 7 |
| 79.0 | 1.212 | 7 |
| 79.2 | 1.210 | 12 |

# 3
Simulated powder XRD pattern of VAgW for λ = 1.5418 Å (Cu Kα), from DFT lattice parameters and positions (GGA-PBE).
Neutral-atom scattering factors, no anomalous dispersion.

Crystal structure
```
VAgW
1.0
0.000 4.110 4.989
2.556 0.000 4.989
2.556 4.110 0.000
V Ag W
2 2 2
Direct
0.144 0.144 0.856
0.856 0.856 0.144
0.332 0.668 0.332
0.668 0.332 0.668
0.250 0.250 0.250
0.750 0.750 0.750
```

Peak list (10 most intense, 2θ from 10° to 90°, in order of rising 2θ)
| two_theta | d [Å] | intensity |
| --- | --- | --- |
| 21.6 | 4.110 | 98 |
| 28.1 | 3.172 | 35 |
| 34.0 | 2.640 | 37 |
| 36.0 | 2.494 | 48 |
| 38.3 | 2.347 | 53 |
| 39.6 | 2.275 | 94 |
| 42.4 | 2.132 | 78 |
| 45.6 | 1.990 | 100 |
| 47.9 | 1.900 | 42 |
| 71.4 | 1.321 | 34 |

# 4
Simulated powder XRD pattern of CsKCdCl4 for λ = 1.5418 Å (Cu Kα), from DFT lattice parameters and positions (GGA-PBE).
Neutral-atom scattering factors, no anomalous dispersion.

Crystal structure
```
CsKCdCl4
1.0
7.641 0.000 0.000
0.000 7.471 0.000
-2.867 0.000 8.989
Cs K Cd Cl
2 2 2 8
Direct
0.239 0.250 0.441
0.761 0.750 0.559
0.284 0.250 0.944
0.716 0.750 0.056
0.257 0.750 0.177
0.743 0.250 0.823
0.050 0.750 0.919
0.072 0.750 0.353
0.486 0.001 0.229
0.486 0.499 0.229
0.514 0.501 0.771
0.514 0.999 0.771
0.928 0.250 0.647
0.950 0.250 0.081
```

Peak list (10 most intense, 2θ from 10° to 90°, in order of rising 2θ)
| two_theta | d [Å] | intensity |
| --- | --- | --- |
| 13.1 | 6.748 | 82 |
| 17.7 | 5.008 | 86 |
| 17.9 | 4.967 | 67 |
| 23.1 | 3.847 | 90 |
| 23.8 | 3.735 | 98 |
| 28.9 | 3.088 | 98 |
| 29.0 | 3.075 | 100 |
| 34.4 | 2.607 | 82 |
| 38.2 | 2.358 | 90 |
| 45.2 | 2.005 | 54 |

# 5
Simulated powder XRD pattern of Pu10As3P3 for λ = 1.5418 Å (Cu Kα), from DFT lattice parameters and positions (GGA-PBE).
Neutral-atom scattering factors, no anomalous dispersion.

Crystal structure
```
Pu10As3P3
1.0
8.487 0.000 0.000
-4.244 7.350 0.000
0.000 0.000 5.946
Pu As P
10 3 3
Direct
0.000 0.250 0.000
0.000 0.736 0.500
0.250 0.000 0.000
0.264 0.264 0.500
0.333 0.667 0.257
0.333 0.667 0.743
0.667 0.333 0.257
0.667 0.333 0.743
0.736 0.000 0.500
0.750 0.750 0.000
0.000 0.610 0.000
0.390 0.390 0.000
0.610 0.000 0.000
0.000 0.377 0.500
0.377 0.000 0.500
0.623 0.623 0.500
```

Peak list (10 most intense, 2θ from 10° to 90°, in order of rising 2θ)
| two_theta | d [Å] | intensity |
| --- | --- | --- |
| 24.2 | 3.675 | 35 |
| 25.8 | 3.454 | 51 |
| 32.2 | 2.778 | 47 |
| 32.5 | 2.756 | 39 |
| 35.7 | 2.517 | 89 |
| 36.7 | 2.450 | 61 |
| 36.9 | 2.435 | 100 |
| 53.0 | 1.727 | 32 |
| 57.1 | 1.613 | 24 |
| 59.1 | 1.563 | 32 |

# 6
Simulated powder XRD pattern of SbRh2S4 for λ = 1.5418 Å (Cu Kα), from DFT lattice parameters and positions (GGA-PBE).
Neutral-atom scattering factors, no anomalous dispersion.

Crystal structure
```
SbRh2S4
1.0
-3.288 3.288 5.992
3.288 -3.288 5.992
3.288 3.288 -5.992
Sb Rh S
2 4 8
Direct
0.375 0.125 0.250
0.625 0.875 0.750
0.000 0.000 0.500
0.000 0.500 0.000
0.000 0.500 0.500
0.500 0.500 0.000
0.017 0.725 0.899
0.225 0.826 0.709
0.326 0.118 0.601
0.382 0.483 0.209
0.618 0.517 0.791
0.674 0.882 0.399
0.775 0.174 0.291
0.983 0.275 0.101
```

Peak list (10 most intense, 2θ from 10° to 90°, in order of rising 2θ)
| two_theta | d [Å] | intensity |
| --- | --- | --- |
| 24.2 | 3.674 | 22 |
| 26.1 | 3.414 | 41 |
| 31.0 | 2.883 | 45 |
| 31.3 | 2.856 | 100 |
| 40.0 | 2.252 | 31 |
| 46.2 | 1.965 | 21 |
| 47.3 | 1.922 | 24 |
| 49.6 | 1.837 | 42 |
| 50.6 | 1.803 | 20 |
| 62.8 | 1.480 | 24 |

# 7
Simulated powder XRD pattern of Be2Cr3B3 for λ = 1.5418 Å (Cu Kα), from DFT lattice parameters and positions (GGA-PBE).
Neutral-atom scattering factors, no anomalous dispersion.

Crystal structure
```
Be2Cr3B3
1.0
1.461 -3.784 0.000
1.461 3.784 0.000
0.000 0.000 11.990
Be Cr B
4 6 6
Direct
0.249 0.751 0.661
0.249 0.751 0.839
0.751 0.249 0.161
0.751 0.249 0.339
0.371 0.629 0.031
0.371 0.629 0.469
0.464 0.536 0.250
0.536 0.464 0.750
0.629 0.371 0.531
0.629 0.371 0.969
0.055 0.945 0.118
0.055 0.945 0.382
0.167 0.833 0.250
0.833 0.167 0.750
0.945 0.055 0.618
0.945 0.055 0.882
```

Peak list (10 most intense, 2θ from 10° to 90°, in order of rising 2θ)
| two_theta | d [Å] | intensity |
| --- | --- | --- |
| 14.8 | 5.995 | 30 |
| 27.9 | 3.200 | 24 |
| 29.8 | 2.997 | 76 |
| 32.8 | 2.727 | 100 |
| 44.7 | 2.026 | 42 |
| 44.9 | 2.017 | 91 |
| 48.3 | 1.886 | 23 |
| 50.1 | 1.820 | 75 |
| 50.6 | 1.804 | 41 |
| 50.7 | 1.801 | 38 |

# 8
Simulated powder XRD pattern of Tb5Ho4Cd2 for λ = 1.5418 Å (Cu Kα), from DFT lattice parameters and positions (GGA-PBE).
Neutral-atom scattering factors, no anomalous dispersion.

Crystal structure
```
Tb5Ho4Cd2
1.0
8.570 0.000 0.000
0.000 3.475 0.000
-0.683 0.000 11.066
Tb Ho Cd
5 4 2
Direct
0.000 0.000 0.000
0.063 0.000 0.300
0.298 0.000 0.836
0.702 0.000 0.164
0.937 0.000 0.700
0.235 0.500 0.550
0.351 0.500 0.119
0.649 0.500 0.881
0.765 0.500 0.450
0.442 0.000 0.366
0.558 0.000 0.634
```

Peak list (10 most intense, 2θ from 10° to 90°, in order of rising 2θ)
| two_theta | d [Å] | intensity |
| --- | --- | --- |
| 30.4 | 2.943 | 20 |
| 31.9 | 2.807 | 100 |
| 32.5 | 2.755 | 39 |
| 33.0 | 2.712 | 57 |
| 33.2 | 2.697 | 26 |
| 33.4 | 2.681 | 52 |
| 34.5 | 2.597 | 38 |
| 35.5 | 2.529 | 20 |
| 36.5 | 2.462 | 25 |
| 50.6 | 1.804 | 20 |

# 9
Simulated powder XRD pattern of Cs2Se2S3 for λ = 1.5418 Å (Cu Kα), from DFT lattice parameters and positions (GGA-PBE).
Neutral-atom scattering factors, no anomalous dispersion.

Crystal structure
```
Cs2Se2S3
1.0
4.690 0.000 0.000
-0.028 7.179 0.000
-2.087 -0.216 7.459
Cs Se S
2 2 3
Direct
0.121 0.238 0.275
0.879 0.762 0.725
0.470 0.273 0.807
0.530 0.727 0.193
0.197 0.741 0.343
0.500 0.000 0.000
0.803 0.259 0.657
```

Peak list (10 most intense, 2θ from 10° to 90°, in order of rising 2θ)
| two_theta | d [Å] | intensity |
| --- | --- | --- |
| 23.5 | 3.779 | 45 |
| 23.7 | 3.759 | 53 |
| 23.9 | 3.730 | 72 |
| 24.8 | 3.588 | 100 |
| 25.7 | 3.471 | 52 |
| 28.8 | 3.098 | 48 |
| 34.2 | 2.624 | 40 |
| 35.2 | 2.549 | 33 |
| 38.4 | 2.344 | 33 |
| 46.2 | 1.965 | 30 |

# 10
Simulated powder XRD pattern of HoP2H5O10 for λ = 1.5418 Å (Cu Kα), from DFT lattice parameters and positions (GGA-PBE).
Neutral-atom scattering factors, no anomalous dispersion.

Crystal structure
```
HoP2H5O10
1.0
6.440 0.000 0.000
0.104 6.914 0.000
1.359 1.329 9.758
Ho P H O
2 4 10 20
Direct
0.134 0.241 0.038
0.866 0.759 0.962
0.305 0.734 0.069
0.436 0.356 0.708
0.564 0.644 0.292
0.695 0.266 0.931
0.128 0.206 0.336
0.212 0.975 0.766
0.259 0.753 0.739
0.359 0.292 0.284
0.486 0.679 0.514
0.514 0.321 0.486
0.641 0.708 0.716
0.741 0.247 0.261
0.788 0.025 0.234
0.872 0.794 0.664
0.011 0.590 0.491
0.150 0.845 0.772
0.162 0.914 0.058
0.163 0.568 0.044
0.240 0.220 0.259
0.252 0.265 0.807
0.348 0.692 0.227
0.431 0.578 0.668
0.463 0.245 0.580
0.488 0.247 0.022
0.512 0.753 0.978
0.537 0.755 0.420
0.569 0.422 0.332
0.652 0.308 0.773
0.748 0.735 0.193
0.760 0.780 0.741
0.837 0.432 0.956
0.838 0.086 0.942
0.850 0.155 0.228
0.989 0.410 0.509
```

Peak list (10 most intense, 2θ from 10° to 90°, in order of rising 2θ)
| two_theta | d [Å] | intensity |
| --- | --- | --- |
| 17.6 | 5.035 | 76 |
| 18.2 | 4.879 | 60 |
| 19.0 | 4.674 | 69 |
| 19.5 | 4.558 | 57 |
| 21.0 | 4.230 | 56 |
| 23.8 | 3.746 | 39 |
| 24.4 | 3.644 | 90 |
| 26.0 | 3.425 | 100 |
| 26.4 | 3.378 | 95 |
| 30.9 | 2.890 | 45 |

# 11
Simulated powder XRD pattern of La12CeTm5 for λ = 1.5418 Å (Cu Kα), from DFT lattice parameters and positions (GGA-PBE).
Neutral-atom scattering factors, no anomalous dispersion.

Crystal structure
```
La12CeTm5
1.0
9.534 -5.449 0.000
9.534 5.449 0.000
-2.108 0.000 5.988
La Ce Tm
12 1 5
Direct
0.002 0.669 0.501
0.165 0.501 0.000
0.165 0.835 0.000
0.330 0.670 0.500
0.331 0.998 0.499
0.499 0.835 0.000
0.501 0.165 0.000
0.669 0.002 0.501
0.670 0.330 0.500
0.835 0.165 0.000
0.835 0.499 0.000
0.998 0.331 0.499
0.000 0.000 0.500
0.166 0.166 0.998
0.333 0.333 0.498
0.500 0.500 0.000
0.667 0.667 0.502
0.834 0.834 0.002
```

Peak list (10 most intense, 2θ from 10° to 90°, in order of rising 2θ)
| two_theta | d [Å] | intensity |
| --- | --- | --- |
| 29.8 | 2.998 | 51 |
| 29.8 | 2.994 | 51 |
| 30.0 | 2.975 | 100 |
| 34.6 | 2.592 | 34 |
| 34.7 | 2.582 | 68 |
| 49.8 | 1.829 | 49 |
| 59.1 | 1.563 | 29 |
| 59.2 | 1.561 | 29 |
| 59.5 | 1.553 | 29 |
| 61.9 | 1.498 | 13 |

# 12
Simulated powder XRD pattern of TbPrSi2Pd5 for λ = 1.5418 Å (Cu Kα), from DFT lattice parameters and positions (GGA-PBE).
Neutral-atom scattering factors, no anomalous dispersion.

Crystal structure
```
TbPrSi2Pd5
1.0
4.234 0.000 0.000
0.000 4.234 0.000
0.000 0.000 9.047
Tb Pr Si Pd
1 1 2 5
Direct
0.000 0.000 0.000
0.000 0.000 0.500
0.500 0.500 0.130
0.500 0.500 0.870
0.000 0.500 0.262
0.000 0.500 0.738
0.500 0.000 0.262
0.500 0.000 0.738
0.500 0.500 0.500
```

Peak list (10 most intense, 2θ from 10° to 90°, in order of rising 2θ)
| two_theta | d [Å] | intensity |
| --- | --- | --- |
| 28.9 | 3.091 | 10 |
| 36.0 | 2.497 | 100 |
| 39.9 | 2.262 | 16 |
| 42.6 | 2.125 | 5 |
| 42.7 | 2.117 | 36 |
| 59.8 | 1.546 | 19 |
| 62.0 | 1.497 | 12 |
| 69.8 | 1.347 | 14 |
| 73.8 | 1.284 | 24 |
| 76.3 | 1.248 | 9 |